For RbPmSe2O6, the GGA-PBE geometry in Alexandria gives the simulated XRD peak list in this record (Cu Kα).
Peak positions follow from Bragg's law for the DFT cell and can differ from measured ones.

Peak list (6 most intense, 5° ≤ 2θ ≤ 70°, by angle)
2theta  intensity  hkl
13.4  36  1 1 0
23.9  95  0 0 2
26.7  100  2 2 -1
27.0  31  1 3 0
32.4  57  2 2 1
33.9  43  1 3 -2

Crystal structure
a b c (Å): 8.789 10.789 7.857
angles (deg): 90.00 108.63 90.00
Space group C2/c (No. 15)
Symmetry-distinct sites (fractional):
Rb 0.000 0.161 0.250 (multiplicity 4)
Pm 0.000 0.443 0.750 (multiplicity 4)
Se 0.207 0.123 0.804 (multiplicity 8)
O 0.088 0.390 0.069 (multiplicity 8)
O 0.184 0.276 0.744 (multiplicity 8)
O 0.226 0.046 0.620 (multiplicity 8)

=====

For Ga6Ag, the GGA-PBE geometry in Alexandria gives the simulated XRD peak list in this record (Cu Kα).
Peak positions follow from Bragg's law for the DFT cell and can differ from measured ones.

Peak list (6 most intense, 5° ≤ 2θ ≤ 70°, by angle)
2theta  intensity  hkl
34.6  42  1 1 3
36.5  50  3 1 1
37.5  71  1 3 0
38.4  100  2 2 2
40.7  86  3 1 2
44.3  36  4 0 0

Crystal structure
a b c (Å): 8.185 7.529 8.806
angles (deg): 90.00 90.00 90.00
Space group Cmcm (No. 63)
Symmetry-distinct sites (fractional):
Ga 0.000 0.153 0.095 (multiplicity 8)
Ga 0.174 0.189 0.750 (multiplicity 8)
Ga 0.201 0.500 0.000 (multiplicity 8)
Ag 0.000 0.494 0.250 (multiplicity 4)

=====

For La3Be6Pd20, the GGA-PBE geometry in Alexandria gives the simulated XRD peak list in this record (Cu Kα).
Peak positions follow from Bragg's law for the DFT cell and can differ from measured ones.

Peak list (6 most intense, 5° ≤ 2θ ≤ 70°, by angle)
2theta  intensity  hkl
33.0  27  4 2 0
36.3  35  4 2 2
38.6  100  3 3 3
42.2  22  4 4 0
44.2  23  5 3 1
65.3  29  6 6 0

Crystal structure
a b c (Å): 12.122 12.122 12.122
angles (deg): 90.00 90.00 90.00
Space group Fm-3m (No. 225)
Symmetry-distinct sites (fractional):
La 0.000 0.000 0.000 (multiplicity 4)
La 0.250 0.250 0.250 (multiplicity 8)
Be 0.000 0.000 0.274 (multiplicity 24)
Pd 0.000 0.171 0.171 (multiplicity 48)
Pd 0.116 0.116 0.384 (multiplicity 32)

=====

For Li2AcRhO4, the GGA-PBE geometry in Alexandria gives the simulated XRD peak list in this record (Cu Kα).
Peak positions follow from Bragg's law for the DFT cell and can differ from measured ones.

Peak list (6 most intense, 5° ≤ 2θ ≤ 70°, by angle)
2theta  intensity  hkl
22.3  100  1 1 0
26.9  26  0 0 2
31.7  30  2 0 0
35.2  72  1 1 2
42.1  43  2 0 2
58.7  33  3 1 2

Crystal structure
a b c (Å): 5.650 5.650 6.619
angles (deg): 90.00 90.00 90.00
Space group I-42m (No. 121)
Symmetry-distinct sites (fractional):
Li 0.000 0.500 0.250 (multiplicity 4)
Ac 0.000 0.000 0.000 (multiplicity 2)
Rh 0.000 0.000 0.500 (multiplicity 2)
O 0.220 0.220 0.347 (multiplicity 8)

=====

For TbPuSc, the GGA-PBE geometry in Alexandria gives the simulated XRD peak list in this record (Cu Kα).
Peak positions follow from Bragg's law for the DFT cell and can differ from measured ones.

Peak list (6 most intense, 5° ≤ 2θ ≤ 70°, by angle)
2theta  intensity  hkl
12.5  26  0 0 2
26.8  24  1 0 1
32.4  100  1 0 3
37.2  35  1 1 0
54.4  23  1 1 6
64.0  28  2 1 3

Crystal structure
a b c (Å): 3.420 3.420 14.129
angles (deg): 90.00 90.00 90.00
Space group I4mm (No. 107)
Symmetry-distinct sites (fractional):
Tb 0.000 0.000 0.000 (multiplicity 2)
Pu 0.000 0.000 0.675 (multiplicity 2)
Sc 0.000 0.000 0.331 (multiplicity 2)

=====

For CsSbPHPt, the GGA-PBE geometry in Alexandria gives the simulated XRD peak list in this record (Cu Kα).
Peak positions follow from Bragg's law for the DFT cell and can differ from measured ones.

Peak list (6 most intense, 5° ≤ 2θ ≤ 70°, by angle)
2theta  intensity  hkl
13.8  89  0 0 1
19.4  63  1 0 -1
26.0  94  1 0 1
27.7  74  0 0 2
29.5  100  1 1 -1
43.5  45  2 1 0

Crystal structure
a b c (Å): 5.081 4.035 6.721
angles (deg): 90.00 106.85 90.00
Space group Pm (No. 6)
Symmetry-distinct sites (fractional):
Cs 0.000 0.000 0.000 (multiplicity 1)
Sb 0.328 0.500 0.548 (multiplicity 1)
P 0.811 0.500 0.375 (multiplicity 1)
H 0.366 0.500 0.822 (multiplicity 1)
Pt 0.610 0.000 0.469 (multiplicity 1)

=====

For YHg5, the GGA-PBE geometry in Alexandria gives the simulated XRD peak list in this record (Cu Kα).
Peak positions follow from Bragg's law for the DFT cell and can differ from measured ones.

Peak list (6 most intense, 5° ≤ 2θ ≤ 70°, by angle)
2theta  intensity  hkl
33.7  100  1 3 1
37.0  19  0 0 2
39.7  16  0 6 0
40.4  15  2 0 0
64.6  16  1 3 3
68.2  13  1 9 1

Crystal structure
a b c (Å): 4.462 13.630 4.853
angles (deg): 90.00 90.00 90.00
Space group Cmmm (No. 65)
Symmetry-distinct sites (fractional):
Y 0.000 0.000 0.000 (multiplicity 2)
Hg 0.000 0.163 0.500 (multiplicity 4)
Hg 0.000 0.332 0.000 (multiplicity 4)
Hg 0.000 0.500 0.500 (multiplicity 2)

=====

For RbTl2C2O6, the GGA-PBE geometry in Alexandria gives the simulated XRD peak list in this record (Cu Kα).
Peak positions follow from Bragg's law for the DFT cell and can differ from measured ones.

Peak list (6 most intense, 5° ≤ 2θ ≤ 70°, by angle)
2theta  intensity  hkl
11.9  61  0 0 1
27.1  100  0 1 2
31.7  19  1 -1 0
31.9  19  1 2 1
32.1  19  2 1 1
37.2  22  1 0 3

Crystal structure
a b c (Å): 5.583 5.610 8.098
angles (deg): 70.06 70.11 60.61
Space group P-1 (No. 2)
Symmetry-distinct sites (fractional):
Rb 0.000 0.000 0.000 (multiplicity 1)
Tl 0.196 0.190 0.420 (multiplicity 2)
C 0.419 0.424 0.731 (multiplicity 2)
O 0.200 0.400 0.728 (multiplicity 2)
O 0.341 0.793 0.265 (multiplicity 2)
O 0.395 0.666 0.732 (multiplicity 2)

=====

For Ba3Ac3ZnO8, the GGA-PBE geometry in Alexandria gives the simulated XRD peak list in this record (Cu Kα).
Peak positions follow from Bragg's law for the DFT cell and can differ from measured ones.

Peak list (6 most intense, 5° ≤ 2θ ≤ 70°, by angle)
2theta  intensity  hkl
28.2  34  0 0 6
29.2  90  2 0 2
33.6  100  0 2 4
47.5  36  2 0 8
48.9  34  2 2 0
57.3  32  2 2 6

Crystal structure
a b c (Å): 7.4559 7.4559 19.0119
angles (deg): 90.00 90.00 120.00
Space group R-3m (No. 166, hexagonal axes)
Symmetry-distinct sites (fractional):
Ba 0.0000 0.5000 0.0000 (multiplicity 9)
Ac 0.0000 0.5000 0.5000 (multiplicity 9)
Zn 0.0000 0.0000 0.5000 (multiplicity 3)
O 0.0000 0.0000 0.2411 (multiplicity 6)
O 0.0229 0.5114 0.2332 (multiplicity 18)

=====

For LaN4, the GGA-PBE geometry in Alexandria gives the simulated XRD peak list in this record (Cu Kα).
Peak positions follow from Bragg's law for the DFT cell and can differ from measured ones.

Peak list (6 most intense, 5° ≤ 2θ ≤ 70°, by angle)
2theta  intensity  hkl
22.1  74  0 1 1
23.7  81  1 1 0
23.9  62  0 1 -1
29.8  100  1 1 2
41.9  42  1 2 -1
47.6  42  1 2 3

Crystal structure
a b c (Å): 4.334 5.224 7.042
angles (deg): 78.68 72.11 65.58
Space group P-1 (No. 2)
Symmetry-distinct sites (fractional):
La 0.184 0.251 0.250 (multiplicity 2)
N 0.153 0.720 0.982 (multiplicity 2)
N 0.266 0.788 0.090 (multiplicity 2)
N 0.355 0.780 0.517 (multiplicity 2)
N 0.356 0.288 0.591 (multiplicity 2)